Entry 1:
This entry pairs a crystal structure of Li4ZnGe with its computed powder X-ray diffraction pattern. Radiation: Cu Kα, 1.54184 Å. Structure: a PBE-relaxed structure.

Principal peaks in the range 2θ from 10° to 80°, sorted by position:
Position (°2θ)  d/Å  I/Imax
23.28  3.821  100
40.91  2.206  34
41.71  2.165  56
47.60  1.911  14
54.29  1.690  16
59.85  1.545  19
64.53  1.444  11
75.05  1.266  19

Cell and atoms:
Lattice parameters (Å, degrees): 4.4121 4.4121 5.2562 90.00 90.00 60.00
Fractional coordinates of all 6 atoms:
Li 0.1665 0.1665 0.2622
Li 0.1669 0.1668 0.7390
Li 0.8332 0.8331 0.2610
Li 0.8335 0.8335 0.7378
Zn 0.5006 0.4994 0.0000
Ge 0.4995 0.5005 0.5000

Entry 2:
This entry pairs a crystal structure of NaPm2Pb3 with its computed powder X-ray diffraction pattern. Radiation: Cu Kα, 1.54184 Å. Structure: a PBE-relaxed structure.

Principal peaks in the range 2θ from 10° to 80°, sorted by position:
Position (°2θ)  d/Å  I/Imax
31.71  2.822  100
35.32  2.541  18
35.66  2.518  18
39.24  2.296  14
51.07  1.788  13
61.15  1.516  15
61.59  1.506  16
66.44  1.407  12

Cell and atoms:
Lattice parameters (Å, degrees): 9.2486 9.2486 9.2486 148.41 120.46 68.97
Fractional coordinates of all 12 atoms:
Na 0.4275 0.1775 0.2500
Na 0.5725 0.8225 0.7500
Pm 0.0824 0.8324 0.2500
Pm 0.2595 0.5095 0.7500
Pm 0.7405 0.4905 0.2500
Pm 0.9176 0.1676 0.7500
Pb 0.0000 0.0000 0.0000
Pb 0.1623 0.6644 0.4979
Pb 0.3335 0.3356 0.9979
Pb 0.5000 0.0000 0.5000
Pb 0.6665 0.6644 0.0021
Pb 0.8377 0.3356 0.5021

Entry 3:
This entry pairs a crystal structure of NdTh4Ge5 with its computed powder X-ray diffraction pattern. Radiation: Cu Kα, 1.54184 Å. Structure: a PBE-relaxed structure.

Principal peaks in the range 2θ from 10° to 80°, sorted by position:
Position (°2θ)  d/Å  I/Imax
25.37  3.511  41
29.38  3.040  100
42.01  2.151  64
49.70  1.835  14
52.03  1.758  14
52.18  1.753  14
69.03  1.361  18
76.69  1.243  13

Cell and atoms:
Lattice parameters (Å, degrees): 11.3935 11.3935 11.3935 158.30 149.03 38.14
Fractional coordinates of all 10 atoms:
Nd 0.0000 0.0000 0.0000
Th 0.1998 0.1998 0.0000
Th 0.4006 0.4006 0.0000
Th 0.5994 0.5994 0.0000
Th 0.8002 0.8002 0.0000
Ge 0.1006 0.6006 0.5000
Ge 0.3002 0.8002 0.5000
Ge 0.5000 0.0000 0.5000
Ge 0.6998 0.1998 0.5000
Ge 0.8994 0.3994 0.5000

Entry 4:
This entry pairs a crystal structure of Pr2W2N5 with its computed powder X-ray diffraction pattern. Radiation: Cu Kα, 1.54184 Å. Structure: a PBE-relaxed structure.

Principal peaks in the range 2θ from 10° to 80°, sorted by position:
Position (°2θ)  d/Å  I/Imax
31.47  2.842  26
31.65  2.827  27
31.81  2.813  100
45.24  2.004  24
56.25  1.635  20
56.47  1.629  20
66.48  1.406  14
75.05  1.266  13

Cell and atoms:
Lattice parameters (Å, degrees): 8.8551 8.8551 8.8551 142.76 53.84 142.56
Fractional coordinates of all 18 atoms:
Pr 0.1201 0.0029 0.1172
Pr 0.3857 0.0029 0.3828
Pr 0.6143 0.9971 0.6172
Pr 0.8799 0.9971 0.8828
W 0.0000 0.5000 0.5000
W 0.2313 0.4813 0.7500
W 0.5000 0.5000 0.0000
W 0.7687 0.5187 0.2500
N 0.0000 0.0000 0.5000
N 0.0000 0.5000 0.0000
N 0.1889 0.5587 0.6302
N 0.2364 0.0000 0.7364
N 0.2364 0.5000 0.2364
N 0.4286 0.5587 0.8698
N 0.5714 0.4413 0.1302
N 0.7636 0.0000 0.2636
N 0.7636 0.5000 0.7636
N 0.8111 0.4413 0.3698